Starting from DFT lattice parameters and positions (PBE), the X-ray powder pattern of Ba2TbBiO6 was simulated for Cu Kα.

Most intense lines, 2θ = 10–90°, low angle first:
28.90 deg, I 100; 28.98 deg, I 100; 41.33 deg, I 37; 41.50 deg, I 18; 51.13 deg, I 15; 51.27 deg, I 36; 51.38 deg, I 36; 59.98 deg, I 18; 67.93 deg, I 13; 82.88 deg, I 15

Crystal structure
a = 6.1607 Å, b = 6.1607 Å, c = 6.1909 Å
α = 120.04°, β = 120.04°, γ = 60.05°
Sites, in units of the cell vectors:
1 Ba 0.2490 0.2490 0.2459
2 Ba 0.7510 0.7510 0.7541
3 Tb 0.0000 0.0000 0.5000
4 Bi 0.5000 0.5000 0.0000
5 O 0.2273 0.7161 0.2145
6 O 0.2569 0.2569 0.7036
7 O 0.2838 0.7727 0.7855
8 O 0.7161 0.2273 0.2145
9 O 0.7431 0.7431 0.2964
10 O 0.7727 0.2838 0.7855